Computed X-ray diffraction stick pattern of RbNpGeO5 for λ = 1.5418 Å (Cu Kα), from the GGA-PBE geometry in Alexandria.
Peak positions follow from Bragg's law for the DFT cell and can differ from measured ones.

Structure:
```
16
Lattice="3.750 -4.941 0.000 3.750 4.941 0.000 -3.473 0.000 7.255" Properties=species:S:1:pos:R:3 pbc="T T T"
Rb 1.145 3.287 5.442
Rb 2.882 -3.287 1.814
Np 3.750 0.000 0.000
Np 2.014 0.000 3.628
Ge 2.882 3.066 1.814
Ge 1.145 -3.066 5.442
O -1.611 0.786 6.459
O 1.811 2.020 2.805
O 0.126 -0.786 2.831
O 3.952 2.020 0.823
O 1.145 0.536 5.442
O 2.882 -0.536 1.814
O 0.075 -2.020 6.432
O 3.901 0.786 4.425
O 2.216 -2.020 4.451
O 5.638 -0.786 0.797
```

Peak list (8 most intense, 2θ = 15–90°, by angle)
- 2θ 15.88, d 5.582, rel. 77
- 2θ 24.03, d 3.704, rel. 100
- 2θ 26.35, d 3.382, rel. 64
- 2θ 30.18, d 2.962, rel. 77
- 2θ 30.57, d 2.924, rel. 54
- 2θ 32.78, d 2.732, rel. 34
- 2θ 33.93, d 2.642, rel. 26
- 2θ 37.89, d 2.375, rel. 25